Record 1
The following is a simulated powder diffraction line list of La7Pm3Pr. It was derived from a GGA-PBE-relaxed structure, using Cu Kα X-rays.

Most intense lines, 2θ from 10° to 90°, low angle first:
- 24.23°, I 12
- 29.29°, I 54
- 30.76°, I 23
- 31.09°, I 20
- 31.48°, I 100
- 31.61°, I 35
- 42.99°, I 18
- 53.28°, I 15
- 53.44°, I 15
- 59.91°, I 13

Structural model:
a = 8.721 Å, b = 8.721 Å, c = 6.098 Å
α = 110.29°, β = 110.29°, γ = 83.63°
Fractional positions:
La  0.000  0.000  0.000
La  0.096  0.507  0.301
La  0.290  0.290  0.792
La  0.493  0.904  0.699
La  0.507  0.096  0.301
La  0.710  0.710  0.208
La  0.904  0.493  0.699
Pm  0.294  0.706  0.000
Pm  0.500  0.500  0.500
Pm  0.706  0.294  0.000
Pr  0.000  0.000  0.500


Record 2
The following is a simulated powder diffraction line list of La3Pm3Pr. It was derived from a GGA-PBE-relaxed structure, using Cu Kα X-rays.

Most intense lines, 2θ from 10° to 90°, low angle first:
- 27.48°, I 23
- 29.91°, I 25
- 31.36°, I 100
- 41.06°, I 16
- 48.58°, I 20
- 54.02°, I 22
- 58.10°, I 23
- 58.97°, I 16
- 79.81°, I 14
- 82.60°, I 8

Structural model:
a = 9.916 Å, b = 9.916 Å, c = 5.975 Å
α = 90.00°, β = 90.00°, γ = 120.00°
Fractional positions:
La  0.096  0.473  0.250
La  0.377  0.904  0.250
La  0.473  0.377  0.750
La  0.527  0.623  0.250
La  0.623  0.096  0.750
La  0.904  0.527  0.750
Pm  0.047  0.235  0.750
Pm  0.187  0.953  0.750
Pm  0.235  0.187  0.250
Pm  0.765  0.813  0.750
Pm  0.813  0.047  0.250
Pm  0.953  0.765  0.250
Pr  0.333  0.667  0.750
Pr  0.667  0.333  0.250


Record 3
The following is a simulated powder diffraction line list of La2Pm6Pr3. It was derived from a GGA-PBE-relaxed structure, using Cu Kα X-rays.

Most intense lines, 2θ from 10° to 90°, low angle first:
- 27.82°, I 28
- 29.90°, I 54
- 30.53°, I 100
- 31.73°, I 47
- 32.70°, I 96
- 35.65°, I 17
- 46.49°, I 16
- 51.10°, I 23
- 56.26°, I 24
- 57.39°, I 17

Structural model:
a = 6.591 Å, b = 6.591 Å, c = 11.395 Å
α = 93.70°, β = 93.70°, γ = 125.50°
Fractional positions:
La  0.140  0.860  0.000
La  0.860  0.140  0.000
Pm  0.086  0.086  0.267
Pm  0.277  0.591  0.781
Pm  0.409  0.723  0.219
Pm  0.591  0.277  0.781
Pm  0.723  0.409  0.219
Pm  0.914  0.914  0.733
Pr  0.178  0.822  0.500
Pr  0.500  0.500  0.500
Pr  0.822  0.178  0.500


Record 4
The following is a simulated powder diffraction line list of La8PmPr6. It was derived from a GGA-PBE-relaxed structure, using Cu Kα X-rays.

Most intense lines, 2θ from 10° to 90°, low angle first:
- 28.21°, I 32
- 29.46°, I 46
- 30.04°, I 100
- 32.88°, I 75
- 36.52°, I 18
- 48.77°, I 34
- 50.73°, I 24
- 56.26°, I 15
- 58.01°, I 40
- 81.84°, I 21

Structural model:
a = 15.615 Å, b = 15.615 Å, c = 15.615 Å
α = 23.91°, β = 23.91°, γ = 23.91°
Fractional positions:
La  0.033  0.701  0.367
La  0.167  0.167  0.167
La  0.299  0.633  0.967
La  0.367  0.033  0.701
La  0.633  0.967  0.299
La  0.701  0.367  0.033
La  0.833  0.833  0.833
La  0.967  0.299  0.633
Pm  0.500  0.500  0.500
Pr  0.101  0.434  0.767
Pr  0.233  0.899  0.566
Pr  0.434  0.767  0.101
Pr  0.566  0.233  0.899
Pr  0.767  0.101  0.434
Pr  0.899  0.566  0.233